(1)
Simulated powder diffraction line list of BaHfZrSnO6 for Cu Kα, from a crystal structure in the Materials Project, relaxed with GGA-PBE.
Peak positions follow from Bragg's law for the DFT cell and can differ from measured ones.

Structure:
Lattice parameters (Å, degrees): 5.9401 5.9401 5.9401 60.00 60.00 60.00
Element x y z (fractional)
1 Ba 0.0000 0.0000 0.0000
2 Hf 0.7500 0.7500 0.7500
3 Zr 0.2500 0.2500 0.2500
4 Sn 0.5000 0.5000 0.5000
5 O 0.5018 0.5018 0.9982
6 O 0.5018 0.9982 0.5018
7 O 0.5018 0.9982 0.9982
8 O 0.9982 0.5018 0.5018
9 O 0.9982 0.5018 0.9982
10 O 0.9982 0.9982 0.5018

Principal peaks in the range 2θ = 15–90°, low angle first:
- 2θ 30.1, intensity 100
- 2θ 43.1, intensity 30
- 2θ 53.4, intensity 41
- 2θ 62.5, intensity 19
- 2θ 71.0, intensity 18
- 2θ 86.7, intensity 22

(2)
Simulated powder diffraction line list of NaTi6O12 for Cu Kα, from a crystal structure in the Materials Project, relaxed with GGA-PBE.
Peak positions follow from Bragg's law for the DFT cell and can differ from measured ones.

Structure:
Lattice parameters (Å, degrees): 8.9610 9.4660 5.3237 90.00 90.00 90.00
Element x y z (fractional)
1 Na 0.0000 0.2138 0.0000
2 Na 0.5000 0.7862 0.5000
3 Ti 0.0000 0.4045 0.4313
4 Ti 0.0000 0.8829 0.9944
5 Ti 0.1691 0.6102 0.9221
6 Ti 0.1696 0.1044 0.4856
7 Ti 0.3304 0.8956 0.9856
8 Ti 0.3309 0.3898 0.4221
9 Ti 0.5000 0.1171 0.4944
10 Ti 0.5000 0.5955 0.9313
11 Ti 0.6691 0.3898 0.4221
12 Ti 0.6696 0.8956 0.9856
13 Ti 0.8304 0.1044 0.4856
14 Ti 0.8309 0.6102 0.9221
15 O 0.0000 0.0235 0.2735
16 O 0.0000 0.2154 0.6145
17 O 0.0000 0.5173 0.1266
18 O 0.0000 0.7117 0.7767
19 O 0.1636 0.9835 0.7886
20 O 0.1664 0.4780 0.6321
21 O 0.1690 0.2875 0.2717
22 O 0.1690 0.7865 0.1401
23 O 0.3310 0.2135 0.6401
24 O 0.3310 0.7125 0.7717
25 O 0.3336 0.5220 0.1321
26 O 0.3364 0.0165 0.2886
27 O 0.5000 0.2883 0.2767
28 O 0.5000 0.4827 0.6266
29 O 0.5000 0.7846 0.1145
30 O 0.5000 0.9765 0.7735
31 O 0.6636 0.0165 0.2886
32 O 0.6664 0.5220 0.1321
33 O 0.6690 0.2135 0.6401
34 O 0.6690 0.7125 0.7717
35 O 0.8310 0.2875 0.2717
36 O 0.8310 0.7865 0.1401
37 O 0.8336 0.4780 0.6321
38 O 0.8364 0.9835 0.7886

Principal peaks in the range 2θ = 15–90°, low angle first:
- 2θ 19.1, intensity 100
- 2θ 33.0, intensity 37
- 2θ 35.5, intensity 18
- 2θ 35.8, intensity 26
- 2θ 39.5, intensity 20
- 2θ 49.8, intensity 26

(3)
Simulated powder diffraction line list of NaSnSb for Cu Kα, from a crystal structure in the Materials Project, relaxed with GGA-PBE.
Peak positions follow from Bragg's law for the DFT cell and can differ from measured ones.

Structure:
Lattice parameters (Å, degrees): 4.3704 4.3704 11.8975 90.00 90.00 120.00
Element x y z (fractional)
1 Na 0.3333 0.6667 0.0000
2 Na 0.6667 0.3333 0.5000
3 Sn 0.0000 0.0000 0.3057
4 Sn 0.0000 0.0000 0.8057
5 Sb 0.3333 0.6667 0.6809
6 Sb 0.6667 0.3333 0.1809

Principal peaks in the range 2θ = 15–90°, low angle first:
- 2θ 24.7, intensity 66
- 2θ 27.9, intensity 100
- 2θ 32.7, intensity 53
- 2θ 38.5, intensity 71
- 2θ 41.3, intensity 63
- 2θ 44.2, intensity 32